1.
Diffraction record for Dy2Fe12Co5. The powder diffractogram is calculated, not measured: it uses a GGA-PBE-relaxed structure and Cu Kα X-rays.

Main lines, in order of rising 2θ (2θ from 10° to 80°):
two_theta	I_rel
30.35	41
31.44	13
36.98	42
38.17	23
42.96	59
43.21	100
43.97	47
48.56	17
62.57	15
63.16	26
70.94	16
78.75	23

Structural model:
Cell: 6.3733 6.3733 6.3733 Å, 82.69 82.69 82.69°
Sites, in units of the cell vectors:
1 Dy 0.1562 0.1562 0.1562
2 Dy 0.8438 0.8438 0.8438
3 Fe 0.1610 0.1610 0.6530
4 Fe 0.1610 0.6530 0.1610
5 Fe 0.2027 0.5000 0.7973
6 Fe 0.2027 0.7973 0.5000
7 Fe 0.3470 0.8390 0.8390
8 Fe 0.5000 0.2027 0.7973
9 Fe 0.5000 0.7973 0.2027
10 Fe 0.6530 0.1610 0.1610
11 Fe 0.7973 0.2027 0.5000
12 Fe 0.7973 0.5000 0.2027
13 Fe 0.8390 0.3470 0.8390
14 Fe 0.8390 0.8390 0.3470
15 Co 0.0000 0.5000 0.5000
16 Co 0.4068 0.4068 0.4068
17 Co 0.5000 0.0000 0.5000
18 Co 0.5000 0.5000 0.0000
19 Co 0.5932 0.5932 0.5932


2.
Diffraction record for CeCoB. The powder diffractogram is calculated, not measured: it uses a GGA-PBE-relaxed structure and Cu Kα X-rays.

Main lines, in order of rising 2θ (2θ from 10° to 80°):
two_theta	I_rel
17.50	15
24.89	39
34.72	100
35.42	15
39.10	65
39.86	100
43.16	26
47.00	31
58.63	14
63.33	18
66.15	34
73.25	32

Structural model:
Cell: 5.3071 5.3071 5.0489 Å, 90.00 90.00 145.48°
Sites, in units of the cell vectors:
1 Ce 0.2001 0.7999 0.7500
2 Ce 0.7999 0.2001 0.2500
3 Co 0.5000 0.5000 0.0000
4 Co 0.5000 0.5000 0.5000
5 B 0.0727 0.9273 0.2500
6 B 0.9273 0.0727 0.7500


3.
Diffraction record for TbDy10Tm4. The powder diffractogram is calculated, not measured: it uses a GGA-PBE-relaxed structure and Cu Kα X-rays.

Main lines, in order of rising 2θ (2θ from 10° to 80°):
two_theta	I_rel
20.20	27
23.36	12
33.28	100
39.24	15
47.78	18
52.37	7
53.84	5
59.47	38
63.48	5
69.88	12
73.59	5
79.63	17

Structural model:
Cell: 9.3260 9.3260 9.3260 Å, 99.60 99.60 131.81°
Sites, in units of the cell vectors:
1 Tb 0.0000 0.0000 0.0000
2 Dy 0.0513 0.3517 0.9004
3 Dy 0.1510 0.0513 0.6996
4 Dy 0.2500 0.7500 0.5000
5 Dy 0.3517 0.4513 0.3004
6 Dy 0.4513 0.1510 0.0996
7 Dy 0.5487 0.8490 0.9004
8 Dy 0.6483 0.5487 0.6996
9 Dy 0.7500 0.2500 0.5000
10 Dy 0.8490 0.9487 0.3004
11 Dy 0.9487 0.6483 0.0996
12 Tm 0.1990 0.4000 0.5990
13 Tm 0.4000 0.8010 0.2010
14 Tm 0.6000 0.1990 0.7990
15 Tm 0.8010 0.6000 0.4010


4.
Diffraction record for CaNd8Se12. The powder diffractogram is calculated, not measured: it uses a GGA-PBE-relaxed structure and Cu Kα X-rays.

Main lines, in order of rising 2θ (2θ from 10° to 80°):
two_theta	I_rel
24.36	34
31.56	100
31.69	51
37.57	69
37.65	30
45.24	16
45.41	12
47.65	23
52.13	15
64.04	25
67.90	13
78.40	14

Structural model:
Cell: 8.9655 8.9655 14.8069 Å, 107.59 107.59 90.05°
Sites, in units of the cell vectors:
1 Ca 0.1874 0.8126 0.5000
2 Ca 0.8126 0.1874 0.0000
3 Nd 0.1013 0.8557 0.0825
4 Nd 0.1094 0.9784 0.8330
5 Nd 0.1447 0.5165 0.6653
6 Nd 0.1874 0.4379 0.2494
7 Nd 0.3118 0.4384 0.9989
8 Nd 0.4379 0.1874 0.7494
9 Nd 0.4384 0.3118 0.4989
10 Nd 0.4755 0.8513 0.3329
11 Nd 0.5165 0.1447 0.1653
12 Nd 0.5201 0.7759 0.9173
13 Nd 0.6432 0.7751 0.6671
14 Nd 0.7751 0.6432 0.1671
15 Nd 0.7759 0.5201 0.4173
16 Nd 0.8513 0.4755 0.8329
17 Nd 0.8557 0.1013 0.5825
18 Nd 0.9784 0.1094 0.3330
19 Se 0.0137 0.5167 0.0489
20 Se 0.1171 0.4654 0.4509
21 Se 0.1281 0.2778 0.7823
22 Se 0.1281 0.7783 0.2846
23 Se 0.1588 0.1643 0.0485
24 Se 0.1643 0.1588 0.5485
25 Se 0.1803 0.6788 0.8821
26 Se 0.2778 0.1281 0.2823
27 Se 0.3443 0.8459 0.7165
28 Se 0.4425 0.7975 0.1167
29 Se 0.4654 0.1171 0.9509
30 Se 0.4691 0.6095 0.4497
31 Se 0.4941 0.4940 0.2146
32 Se 0.4940 0.4941 0.7146
33 Se 0.5167 0.0137 0.5489
34 Se 0.6095 0.4691 0.9497
35 Se 0.6788 0.1803 0.3821
36 Se 0.7783 0.1281 0.7846
37 Se 0.7950 0.9421 0.1182
38 Se 0.7975 0.4425 0.6167
39 Se 0.8221 0.8283 0.3812
40 Se 0.8283 0.8221 0.8812
41 Se 0.8459 0.3443 0.2165
42 Se 0.9421 0.7950 0.6182


5.
Diffraction record for Ac3In3Ga2. The powder diffractogram is calculated, not measured: it uses a GGA-PBE-relaxed structure and Cu Kα X-rays.

Main lines, in order of rising 2θ (2θ from 10° to 80°):
two_theta	I_rel
28.92	58
29.38	50
29.68	100
32.24	17
33.19	62
33.88	15
36.18	31
38.72	36
48.26	17
49.30	25
55.60	16
59.40	14

Structural model:
Cell: 6.6123 6.6123 16.6608 Å, 90.00 90.00 138.81°
Sites, in units of the cell vectors:
1 Ac 0.0563 0.9437 0.6075
2 Ac 0.0563 0.9437 0.8925
3 Ac 0.3421 0.6579 0.7500
4 Ac 0.6579 0.3421 0.2500
5 Ac 0.9437 0.0563 0.1075
6 Ac 0.9437 0.0563 0.3925
7 In 0.3500 0.6500 0.5371
8 In 0.3500 0.6500 0.9629
9 In 0.3799 0.6201 0.2500
10 In 0.6201 0.3799 0.7500
11 In 0.6500 0.3500 0.0371
12 In 0.6500 0.3500 0.4629
13 Ga 0.2324 0.7676 0.1153
14 Ga 0.2324 0.7676 0.3847
15 Ga 0.7676 0.2324 0.6153
16 Ga 0.7676 0.2324 0.8847


6.
Diffraction record for SbIBr2. The powder diffractogram is calculated, not measured: it uses a GGA-PBE-relaxed structure and Cu Kα X-rays.

Main lines, in order of rising 2θ (2θ from 10° to 80°):
two_theta	I_rel
14.19	100
18.31	55
25.12	25
26.25	90
26.86	67
27.07	91
34.32	33
34.80	58
34.96	37
40.68	27
41.12	41
42.34	28

Structural model:
Cell: 7.5183 7.0904 14.8876 Å, 90.00 117.76 90.00°
Sites, in units of the cell vectors:
1 Sb 0.1726 0.0332 0.4134
2 Sb 0.1726 0.4668 0.9134
3 Sb 0.8274 0.5332 0.0866
4 Sb 0.8274 0.9668 0.5866
5 I 0.2064 0.2458 0.7638
6 I 0.2064 0.2542 0.2638
7 I 0.7936 0.7458 0.7362
8 I 0.7936 0.7542 0.2362
9 Br 0.1229 0.7262 0.0850
10 Br 0.1229 0.7738 0.5850
11 Br 0.4526 0.2230 0.5656
12 Br 0.4526 0.2770 0.0656
13 Br 0.5474 0.7230 0.9344
14 Br 0.5474 0.7770 0.4344
15 Br 0.8771 0.2262 0.4150
16 Br 0.8771 0.2738 0.9150


7.
Diffraction record for Ba2TlO3. The powder diffractogram is calculated, not measured: it uses a GGA-PBE-relaxed structure and Cu Kα X-rays.

Main lines, in order of rising 2θ (2θ from 10° to 80°):
two_theta	I_rel
14.24	28
25.08	26
27.33	28
28.47	74
28.71	100
29.72	69
30.77	46
31.88	32
32.64	59
38.32	22
43.97	23
48.80	23

Structural model:
Cell: 6.9695 6.9695 13.0877 Å, 91.91 91.91 126.37°
Sites, in units of the cell vectors:
1 Ba 0.0303 0.4266 0.8558
2 Ba 0.1017 0.3305 0.4240
3 Ba 0.3305 0.1017 0.9240
4 Ba 0.4266 0.0303 0.3558
5 Ba 0.5734 0.9697 0.6442
6 Ba 0.6695 0.8983 0.0760
7 Ba 0.8983 0.6695 0.5760
8 Ba 0.9697 0.5734 0.1442
9 Tl 0.3112 0.3106 0.1704
10 Tl 0.3106 0.3112 0.6704
11 Tl 0.6894 0.6888 0.3296
12 Tl 0.6888 0.6894 0.8296
13 O 0.0221 0.9779 0.2500
14 O 0.0998 0.2994 0.0346
15 O 0.1587 0.5246 0.6107
16 O 0.2994 0.0998 0.5346
17 O 0.3418 0.6582 0.2500
18 O 0.4754 0.8413 0.8893
19 O 0.5246 0.1587 0.1107
20 O 0.6582 0.3418 0.7500
21 O 0.7006 0.9002 0.4654
22 O 0.8413 0.4754 0.3893
23 O 0.9002 0.7006 0.9654
24 O 0.9779 0.0221 0.7500


8.
Diffraction record for Y7Er4Pu. The powder diffractogram is calculated, not measured: it uses a GGA-PBE-relaxed structure and Cu Kα X-rays.

Main lines, in order of rising 2θ (2θ from 10° to 80°):
two_theta	I_rel
21.82	64
29.91	57
30.54	39
31.02	44
31.06	100
31.92	77
32.03	44
32.83	41
34.62	38
43.66	41
44.48	32
45.84	31

Structural model:
Cell: 8.6658 8.6658 9.3163 Å, 119.19 119.19 38.81°
Sites, in units of the cell vectors:
1 Y 0.0000 0.0000 0.0000
2 Y 0.2051 0.2051 0.8880
3 Y 0.3379 0.3379 0.6903
4 Y 0.4453 0.4453 0.2758
5 Y 0.5547 0.5547 0.7242
6 Y 0.6621 0.6621 0.3097
7 Y 0.7949 0.7949 0.1120
8 Er 0.0927 0.0927 0.4542
9 Er 0.2503 0.2503 0.2869
10 Er 0.7497 0.7497 0.7131
11 Er 0.9073 0.9073 0.5458
12 Pu 0.5000 0.5000 0.0000